Na2Sm2O5: theoretical X-ray diffraction stick pattern (Cu Ka), based on a GGA-PBE-relaxed structure.

Cell and atoms:
Cell lengths 4.287, 4.287, 8.258 Å; angles 90.00, 90.00, 90.00 degrees
Space group P4/mmm (No. 123)
Symmetry-distinct sites (fractional):
Na: 0.000 0.000 0.000 (multiplicity 1)
Na: 0.000 0.000 0.500 (multiplicity 1)
Sm: 0.500 0.500 0.233 (multiplicity 2)
O: 0.000 0.500 0.152 (multiplicity 4)
O: 0.500 0.500 0.500 (multiplicity 1)

Largest 10 diffraction maxima, low angle first, 2θ from 10° to 90°:
hkl 1 0 0, 20.7 deg, rel. 85
hkl 0 0 2, 21.5 deg, rel. 34
hkl 1 1 0, 29.5 deg, rel. 44
hkl 1 0 2, 30.0 deg, rel. 100
hkl 1 1 2, 36.8 deg, rel. 23
hkl 2 0 0, 42.2 deg, rel. 34
hkl 2 1 0, 47.4 deg, rel. 19
hkl 2 0 2, 47.8 deg, rel. 16
hkl 2 1 2, 52.6 deg, rel. 42
hkl 1 1 4, 53.7 deg, rel. 26

***

KIn2BiAu: theoretical X-ray diffraction stick pattern (Cu Ka), based on a GGA-PBE-relaxed structure.

Cell and atoms:
Cell lengths 4.943, 4.943, 12.613 Å; angles 90.00, 90.00, 90.00 degrees
Space group I4mm (No. 107)
Symmetry-distinct sites (fractional):
K: 0.000 0.000 0.000 (multiplicity 2)
In: 0.000 0.500 0.235 (multiplicity 4)
Bi: 0.000 0.000 0.394 (multiplicity 2)
Au: 0.000 0.000 0.625 (multiplicity 2)

Largest 10 diffraction maxima, low angle first, 2θ from 10° to 90°:
hkl 1 0 1, 19.3 deg, rel. 100
hkl 1 0 3, 27.9 deg, rel. 46
hkl 1 1 2, 29.2 deg, rel. 59
hkl 2 0 0, 36.4 deg, rel. 73
hkl 1 1 4, 38.4 deg, rel. 84
hkl 1 0 5, 40.1 deg, rel. 38
hkl 2 1 1, 41.5 deg, rel. 31
hkl 2 2 0, 52.4 deg, rel. 25
hkl 2 1 5, 55.3 deg, rel. 30
hkl 3 1 4, 66.8 deg, rel. 34

***

Cd3B2O6: theoretical X-ray diffraction stick pattern (Cu Ka), based on a GGA-PBE-relaxed structure.

Cell and atoms:
Cell lengths 4.799, 5.979, 9.040 Å; angles 90.00, 90.00, 90.00 degrees
Space group Pnnm (No. 58)
Symmetry-distinct sites (fractional):
Cd: 0.000 0.000 0.000 (multiplicity 2)
Cd: 0.000 0.500 0.190 (multiplicity 4)
B: 0.036 0.239 0.500 (multiplicity 4)
O: 0.180 0.281 0.369 (multiplicity 8)
O: 0.241 0.823 0.500 (multiplicity 4)

Largest 10 diffraction maxima, low angle first, 2θ from 10° to 90°:
hkl 1 0 1, 21.0 deg, rel. 41
hkl 1 1 0, 23.8 deg, rel. 17
hkl 0 2 0, 29.9 deg, rel. 20
hkl 1 1 2, 31.0 deg, rel. 100
hkl 0 1 3, 33.3 deg, rel. 45
hkl 1 2 1, 36.8 deg, rel. 43
hkl 2 2 0, 48.7 deg, rel. 25
hkl 2 1 3, 51.0 deg, rel. 34
hkl 1 3 2, 53.8 deg, rel. 19
hkl 1 2 5, 63.1 deg, rel. 17

***

Zr: theoretical X-ray diffraction stick pattern (Cu Ka), based on a GGA-PBE-relaxed structure.

Cell and atoms:
Cell lengths 3.2204, 3.2204, 5.2113 Å; angles 90.00, 90.00, 120.00 degrees
Space group P6_3/mmc (No. 194)
Symmetry-distinct sites (fractional):
Zr: 0.3333 0.6667 0.2500 (multiplicity 2)

Largest 10 diffraction maxima, low angle first, 2θ from 10° to 90°:
hkl 1 0 0, 32.1 deg, rel. 24
hkl 0 0 2, 34.4 deg, rel. 26
hkl 1 0 1, 36.5 deg, rel. 100
hkl 1 0 2, 47.8 deg, rel. 15
hkl 1 1 0, 57.2 deg, rel. 18
hkl 1 0 3, 63.0 deg, rel. 19
hkl 1 1 2, 68.5 deg, rel. 20
hkl 2 0 1, 69.8 deg, rel. 14
hkl 2 0 2, 77.7 deg, rel. 3
hkl 1 0 4, 81.6 deg, rel. 3